1.
For Li4InSn3, a DFT-relaxed cell (PBE, Alexandria) gives the theoretical powder XRD pattern in this record (Cu Kα X-rays).
No peak broadening, texture or thermal motion is included.

Atomic structure:
Cell lengths 3.4291, 3.4291, 13.6942 Å; angles 90.00, 90.00, 90.00 degrees
Space group P4/mmm (No. 123)
One atom of each set of equivalent atoms:
Li 0.0000 0.0000 0.1232 [2 per cell]
Li 0.0000 0.0000 0.3736 [2 per cell]
In 0.5000 0.5000 0.0000 [1 per cell]
Sn 0.5000 0.5000 0.2464 [2 per cell]
Sn 0.5000 0.5000 0.5000 [1 per cell]

Most intense lines, 2θ from 5° to 70°, in order of rising 2θ:
hkl 1 0 0, d = 3.427 Å, intensity 100; hkl 1 1 0, d = 2.423 Å, intensity 95; hkl 1 1 4, d = 1.979 Å, intensity 29; hkl 2 0 0, d = 1.714 Å, intensity 17; hkl 2 1 0, d = 1.533 Å, intensity 39; hkl 2 1 4, d = 1.399 Å, intensity 34

=====

2.
For Mg4AgPdAu2, a DFT-relaxed cell (PBE, Alexandria) gives the theoretical powder XRD pattern in this record (Cu Kα X-rays).
No peak broadening, texture or thermal motion is included.

Atomic structure:
Cell lengths 4.6387, 4.6387, 22.6180 Å; angles 90.00, 90.00, 120.00 degrees
Space group R-3m (No. 166, hexagonal axes)
One atom of each set of equivalent atoms:
Mg 0.0000 0.0000 0.1224 [6 per cell]
Mg 0.0000 0.0000 0.3723 [6 per cell]
Ag 0.0000 0.0000 0.5000 [3 per cell]
Pd 0.0000 0.0000 0.0000 [3 per cell]
Au 0.0000 0.0000 0.2492 [6 per cell]

Most intense lines, 2θ from 5° to 70°, in order of rising 2θ:
hkl 0 1 2, d = 3.782 Å, intensity 21; hkl 1 0 4, d = 3.275 Å, intensity 100; hkl 1 1 0, d = 2.319 Å, intensity 78; hkl 0 1 8, d = 2.312 Å, intensity 77; hkl 2 0 2, d = 1.976 Å, intensity 9; hkl 1 0 10, d = 1.971 Å, intensity 3; hkl 0 2 4, d = 1.893 Å, intensity 22; hkl 0 0 12, d = 1.885 Å, intensity 7; hkl 2 0 8, d = 1.637 Å, intensity 26; hkl 1 2 2, d = 1.505 Å, intensity 3; hkl 2 1 4, d = 1.466 Å, intensity 19; hkl 1 1 12, d = 1.463 Å, intensity 19

=====

3.
For Ba3Ge2Bi2, a DFT-relaxed cell (PBE, Alexandria) gives the theoretical powder XRD pattern in this record (Cu Kα X-rays).
No peak broadening, texture or thermal motion is included.

Atomic structure:
Cell lengths 5.0537, 5.1483, 20.4507 Å; angles 90.00, 90.00, 90.00 degrees
Space group Immm (No. 71)
One atom of each set of equivalent atoms:
Ba 0.0000 0.0000 0.0000 [2 per cell]
Ba 0.0000 0.5000 0.1778 [4 per cell]
Ge 0.0000 0.0000 0.4359 [4 per cell]
Bi 0.0000 0.5000 0.3614 [4 per cell]

Most intense lines, 2θ from 5° to 70°, in order of rising 2θ:
hkl 0 0 4, d = 5.113 Å, intensity 25; hkl 1 1 0, d = 3.606 Å, intensity 32; hkl 1 1 2, d = 3.403 Å, intensity 100; hkl 1 0 5, d = 3.179 Å, intensity 45; hkl 1 1 4, d = 2.947 Å, intensity 84; hkl 0 2 0, d = 2.574 Å, intensity 40; hkl 0 1 7, d = 2.541 Å, intensity 38; hkl 2 0 0, d = 2.527 Å, intensity 39; hkl 1 1 6, d = 2.477 Å, intensity 28; hkl 1 2 5, d = 2.001 Å, intensity 24; hkl 2 2 0, d = 1.803 Å, intensity 29; hkl 2 1 7, d = 1.792 Å, intensity 27